# TlAgF4
Calculated powder diffractogram, Cu Kα (λ = 1.5418 Å). Input: a PBE-relaxed structure.
Neutral-atom scattering factors, no anomalous dispersion.

The 8 most intense peaks (5 to 70 degrees two-theta), sorted by position:
h k l, Position (°2θ), I (rel.)
0 1 1, 21.72, 36
1 1 1, 26.22, 100
2 0 0, 29.27, 18
1 0 2, 31.79, 24
2 2 0, 45.05, 19
1 2 2, 46.83, 26
3 1 1, 50.07, 18
2 1 3, 55.58, 29

Crystal structure
```
TlAgF4
1.0
6.1032 0.0000 0.0000
0.0000 5.3537 0.0000
0.0000 0.0000 6.3451
Tl Ag F
2 2 8
Direct
0.0000 0.0000 0.0000
0.0000 0.5000 0.5000
0.5000 0.0000 0.6666
0.5000 0.5000 0.1666
0.1487 0.2446 0.7403
0.1487 0.2554 0.2403
0.2988 0.7076 0.4640
0.2988 0.7924 0.9640
0.7012 0.2076 0.9640
0.7012 0.2924 0.4640
0.8513 0.7446 0.2403
0.8513 0.7554 0.7403
```